1.
Sr4Cl: theoretical powder diffractogram (Cu Kα X-rays), based on a crystal structure in Alexandria, relaxed with PBE.
Peak positions follow from Bragg's law for the DFT cell and can differ from measured ones.

Main lines, sorted by position (2θ from 10° to 90°):
2θ = 24.8°, rel. 100
2θ = 28.8°, rel. 79
2θ = 41.1°, rel. 59
2θ = 48.7°, rel. 49
2θ = 51.0°, rel. 21
2θ = 59.6°, rel. 10
2θ = 65.6°, rel. 20
2θ = 67.5°, rel. 26
2θ = 75.0°, rel. 20
2θ = 80.4°, rel. 15

Crystal structure
```
Sr4Cl
1.0
6.207 0.000 0.000
0.000 6.207 0.000
0.000 0.000 6.207
Sr Cl
4 1
Cartesian
0.000 0.000 0.000 Sr
0.000 3.104 3.104 Sr
3.104 0.000 3.104 Sr
3.104 3.104 0.000 Sr
3.104 3.104 3.104 Cl
```



2.
PuPdBr: theoretical powder diffractogram (Cu Kα X-rays), based on a crystal structure in Alexandria, relaxed with PBE.
Peak positions follow from Bragg's law for the DFT cell and can differ from measured ones.

Main lines, sorted by position (2θ from 10° to 90°):
2θ = 12.5°, rel. 100
2θ = 15.5°, rel. 20
2θ = 18.4°, rel. 19
2θ = 25.1°, rel. 27
2θ = 33.3°, rel. 46
2θ = 38.0°, rel. 37
2θ = 38.1°, rel. 19
2θ = 39.5°, rel. 36
2θ = 43.6°, rel. 25
2θ = 46.1°, rel. 20

Crystal structure
```
PuPdBr
1.0
1.663 -7.092 0.000
1.663 7.092 0.000
-0.023 0.000 9.653
Pu Pd Br
2 2 2
Cartesian
0.815 0.000 4.016 Pu
2.489 0.000 5.637 Pu
1.652 2.508 4.827 Pd
1.652 -2.508 4.827 Pd
0.822 0.000 7.864 Br
2.482 0.000 1.789 Br
```



3.
BaZn13: theoretical powder diffractogram (Cu Kα X-rays), based on a crystal structure in Alexandria, relaxed with PBE.
Peak positions follow from Bragg's law for the DFT cell and can differ from measured ones.

Main lines, sorted by position (2θ from 10° to 90°):
2θ = 32.3°, rel. 40
2θ = 35.5°, rel. 83
2θ = 43.2°, rel. 100
2θ = 43.8°, rel. 26
2θ = 46.4°, rel. 17
2θ = 55.5°, rel. 12
2θ = 61.8°, rel. 13
2θ = 69.1°, rel. 17
2θ = 75.1°, rel. 14
2θ = 83.7°, rel. 14

Crystal structure
```
BaZn13
1.0
0.000 6.194 6.194
6.194 0.000 6.194
6.194 6.194 0.000
Ba Zn
2 26
Cartesian
3.097 3.097 3.097 Ba
9.291 9.291 9.291 Ba
0.000 0.000 0.000 Zn
6.194 4.703 2.219 Zn
10.169 6.194 4.703 Zn
7.685 2.219 6.194 Zn
7.685 6.194 3.975 Zn
6.194 3.975 4.703 Zn
8.413 4.703 6.194 Zn
6.194 7.685 2.219 Zn
4.703 2.219 6.194 Zn
10.169 6.194 7.685 Zn
4.703 6.194 3.975 Zn
8.413 7.685 6.194 Zn
6.194 3.975 7.685 Zn
6.194 6.194 6.194 Zn
6.194 8.413 4.703 Zn
3.975 4.703 6.194 Zn
7.685 6.194 8.413 Zn
2.219 6.194 4.703 Zn
7.685 10.169 6.194 Zn
6.194 4.703 10.169 Zn
3.975 7.685 6.194 Zn
6.194 8.413 7.685 Zn
4.703 6.194 8.413 Zn
4.703 10.169 6.194 Zn
2.219 6.194 7.685 Zn
6.194 7.685 10.169 Zn
```



4.
Tb5Nd2DyMg: theoretical powder diffractogram (Cu Kα X-rays), based on a crystal structure in Alexandria, relaxed with PBE.
Peak positions follow from Bragg's law for the DFT cell and can differ from measured ones.

Main lines, sorted by position (2θ from 10° to 90°):
2θ = 27.9°, rel. 19
2θ = 30.5°, rel. 42
2θ = 32.4°, rel. 100
2θ = 32.7°, rel. 34
2θ = 34.0°, rel. 15
2θ = 43.5°, rel. 11
2θ = 47.9°, rel. 12
2θ = 58.2°, rel. 22
2θ = 59.4°, rel. 11
2θ = 62.0°, rel. 12

Crystal structure
```
Tb5Nd2DyMg
1.0
2.738 -10.069 0.000
2.738 10.069 0.000
0.000 0.000 10.560
Tb Nd Dy Mg
10 4 2 2
Cartesian
2.738 -10.060 0.000 Tb
2.738 10.060 5.280 Tb
2.738 7.681 7.929 Tb
2.738 5.826 4.737 Tb
2.738 5.807 0.558 Tb
2.738 0.277 7.929 Tb
2.738 -0.277 2.649 Tb
2.738 -5.807 5.838 Tb
2.738 -5.826 10.017 Tb
2.738 -7.681 2.649 Tb
2.738 2.321 0.429 Nd
2.738 2.325 4.871 Nd
2.738 -2.321 5.709 Nd
2.738 -2.325 10.151 Nd
2.738 4.103 7.929 Dy
2.738 -4.103 2.649 Dy
2.738 8.160 2.630 Mg
2.738 -8.160 7.910 Mg
```



5.
LaP4N8: theoretical powder diffractogram (Cu Kα X-rays), based on a crystal structure in Alexandria, relaxed with PBE.
Peak positions follow from Bragg's law for the DFT cell and can differ from measured ones.

Main lines, sorted by position (2θ from 10° to 90°):
2θ = 10.8°, rel. 100
2θ = 23.2°, rel. 25
2θ = 30.0°, rel. 44
2θ = 35.9°, rel. 24
2θ = 37.6°, rel. 31
2θ = 39.0°, rel. 18
2θ = 47.5°, rel. 7
2θ = 60.9°, rel. 10
2θ = 66.6°, rel. 8
2θ = 68.4°, rel. 9

Crystal structure
```
LaP4N8
1.0
5.004 0.000 0.000
-2.502 4.334 0.000
0.000 0.000 8.198
La P N
1 4 8
Cartesian
0.000 0.000 0.000 La
0.000 2.889 1.646 P
0.000 2.889 6.553 P
2.502 1.445 1.646 P
2.502 1.445 6.553 P
-0.955 1.654 6.111 N
-1.547 2.680 2.088 N
0.000 2.889 0.000 N
1.910 0.000 6.111 N
0.955 1.654 2.088 N
3.095 0.000 2.088 N
1.547 2.680 6.111 N
2.502 1.445 0.000 N
```



6.
Ho8Ag2Hg: theoretical powder diffractogram (Cu Kα X-rays), based on a crystal structure in Alexandria, relaxed with PBE.
Peak positions follow from Bragg's law for the DFT cell and can differ from measured ones.

Main lines, sorted by position (2θ from 10° to 90°):
2θ = 33.0°, rel. 44
2θ = 33.2°, rel. 99
2θ = 33.5°, rel. 100
2θ = 34.0°, rel. 52
2θ = 47.6°, rel. 20
2θ = 48.1°, rel. 30
2θ = 59.6°, rel. 19
2θ = 59.8°, rel. 17
2θ = 60.4°, rel. 18
2θ = 60.6°, rel. 18

Crystal structure
```
Ho8Ag2Hg
1.0
7.950 -2.635 0.000
7.950 2.635 0.000
-4.244 0.000 7.170
Ho Ag Hg
8 2 1
Cartesian
0.148 0.000 1.579 Ho
-0.705 0.000 4.966 Ho
2.746 0.000 3.882 Ho
6.217 0.000 0.303 Ho
5.439 0.000 6.867 Ho
8.911 0.000 3.288 Ho
12.361 0.000 2.205 Ho
11.509 0.000 5.591 Ho
3.047 0.000 0.834 Ag
8.609 0.000 6.336 Ag
5.828 0.000 3.585 Hg
```



7.
VNi4P16: theoretical powder diffractogram (Cu Kα X-rays), based on a crystal structure in Alexandria, relaxed with PBE.
Peak positions follow from Bragg's law for the DFT cell and can differ from measured ones.

Main lines, sorted by position (2θ from 10° to 90°):
2θ = 24.9°, rel. 53
2θ = 32.4°, rel. 100
2θ = 32.7°, rel. 68
2θ = 32.9°, rel. 61
2θ = 35.9°, rel. 98
2θ = 50.6°, rel. 70
2θ = 51.4°, rel. 49
2θ = 52.4°, rel. 56
2θ = 54.1°, rel. 86
2θ = 54.5°, rel. 61

Crystal structure
```
VNi4P16
1.0
9.792 -2.833 0.000
9.792 2.833 0.000
-2.104 0.000 10.900
V Ni P
2 8 32
Cartesian
8.214 2.229 8.175 V
9.266 -2.229 2.725 V
4.613 0.318 1.405 Ni
6.816 0.532 4.645 Ni
3.561 -0.318 6.856 Ni
5.764 -0.532 10.095 Ni
11.715 0.532 0.805 Ni
13.918 0.318 4.045 Ni
10.663 -0.532 6.255 Ni
12.866 -0.318 9.495 Ni
3.668 0.931 3.403 P
1.620 0.211 5.906 P
0.560 0.003 9.121 P
1.612 -0.003 3.671 P
6.672 1.596 10.004 P
2.672 -0.211 0.456 P
3.636 0.369 10.315 P
8.887 1.517 4.264 P
6.581 0.731 2.391 P
9.644 1.517 1.186 P
9.755 1.596 6.346 P
4.688 -0.369 4.865 P
2.616 -0.931 8.853 P
7.284 0.308 6.910 P
5.529 -0.731 7.841 P
8.335 -0.308 1.460 P
9.144 0.308 9.441 P
11.950 0.731 3.059 P
10.196 -0.308 3.991 P
14.864 0.931 2.047 P
12.791 0.369 6.035 P
7.724 -1.596 4.554 P
7.835 -1.517 9.714 P
10.898 -0.731 8.509 P
8.592 -1.517 6.636 P
13.843 -0.369 0.585 P
14.807 0.211 10.445 P
10.807 -1.596 0.896 P
15.867 0.003 7.229 P
16.919 -0.003 1.779 P
15.859 -0.211 4.995 P
13.812 -0.931 7.497 P
```



8.
Ba4LaTa3O12: theoretical powder diffractogram (Cu Kα X-rays), based on a crystal structure in Alexandria, relaxed with PBE.
Peak positions follow from Bragg's law for the DFT cell and can differ from measured ones.

Main lines, sorted by position (2θ from 10° to 90°):
2θ = 14.7°, rel. 1
2θ = 20.9°, rel. 4
2θ = 29.7°, rel. 100
2θ = 42.5°, rel. 28
2θ = 47.8°, rel. 2
2θ = 52.6°, rel. 41
2θ = 61.6°, rel. 18
2θ = 69.8°, rel. 18
2θ = 77.7°, rel. 6
2θ = 85.3°, rel. 22

Crystal structure
```
Ba4LaTa3O12
1.0
-4.258 4.258 4.258
4.258 -4.258 4.258
4.258 4.258 -4.258
Ba La Ta O
4 1 3 12
Cartesian
2.129 2.129 -2.129 Ba
2.129 -2.129 2.129 Ba
-2.129 2.129 2.129 Ba
2.129 2.129 2.129 Ba
0.000 0.000 0.000 La
4.258 0.000 0.000 Ta
0.000 4.258 0.000 Ta
0.000 0.000 4.258 Ta
2.304 0.000 0.000 O
6.213 0.000 0.000 O
4.258 2.129 0.000 O
4.258 0.000 2.129 O
0.000 2.304 0.000 O
0.000 0.000 2.304 O
2.129 4.258 0.000 O
2.129 0.000 4.258 O
0.000 6.213 0.000 O
0.000 0.000 6.213 O
0.000 4.258 2.129 O
0.000 2.129 4.258 O
```



9.
CsCd12Sb7: theoretical powder diffractogram (Cu Kα X-rays), based on a crystal structure in Alexandria, relaxed with PBE.
Peak positions follow from Bragg's law for the DFT cell and can differ from measured ones.

Main lines, sorted by position (2θ from 10° to 90°):
2θ = 17.3°, rel. 27
2θ = 24.4°, rel. 35
2θ = 26.3°, rel. 100
2θ = 28.5°, rel. 72
2θ = 34.9°, rel. 41
2θ = 37.5°, rel. 82
2θ = 40.2°, rel. 37
2θ = 42.8°, rel. 47
2θ = 44.2°, rel. 41
2θ = 73.8°, rel. 25

Crystal structure
```
CsCd12Sb7
1.0
8.981 5.185 2.281
-8.981 5.185 2.281
0.000 -10.370 2.281
Cs Cd Sb
1 12 7
Cartesian
0.000 0.000 0.000 Cs
-5.243 -5.837 3.580 Cd
-7.677 1.622 3.262 Cd
-2.650 -1.479 2.802 Cd
2.434 -7.459 3.262 Cd
-0.044 -3.034 4.040 Cd
-2.605 1.555 4.040 Cd
2.605 -1.555 2.802 Cd
0.044 3.034 2.802 Cd
-2.434 7.459 3.580 Cd
2.650 1.479 4.040 Cd
7.677 -1.622 3.580 Cd
5.243 5.837 3.262 Cd
-1.558 -3.881 1.633 Sb
-2.582 3.290 1.633 Sb
4.140 0.591 1.633 Sb
0.000 0.000 3.421 Sb
-4.140 -0.591 5.208 Sb
2.582 -3.290 5.208 Sb
1.558 3.881 5.208 Sb
```



10.
Pr2CrNi9: theoretical powder diffractogram (Cu Kα X-rays), based on a crystal structure in Alexandria, relaxed with PBE.
Peak positions follow from Bragg's law for the DFT cell and can differ from measured ones.

Main lines, sorted by position (2θ from 10° to 90°):
2θ = 25.3°, rel. 26
2θ = 32.9°, rel. 46
2θ = 35.9°, rel. 57
2θ = 36.3°, rel. 57
2θ = 42.4°, rel. 48
2θ = 42.7°, rel. 100
2θ = 44.8°, rel. 27
2θ = 45.6°, rel. 37
2θ = 46.2°, rel. 47
2θ = 77.2°, rel. 30

Crystal structure
```
Pr2CrNi9
1.0
2.472 1.427 8.231
-2.472 1.427 8.231
0.000 -2.854 8.231
Pr Cr Ni
2 1 9
Cartesian
0.000 0.000 3.313 Pr
0.000 0.000 21.380 Pr
0.000 0.000 0.000 Cr
-1.233 -0.712 10.167 Ni
0.000 0.000 8.217 Ni
0.000 -1.423 14.527 Ni
-1.233 0.712 14.527 Ni
0.000 0.000 12.347 Ni
1.233 -0.712 10.167 Ni
0.000 1.423 10.167 Ni
0.000 0.000 16.476 Ni
1.233 0.712 14.527 Ni
```



11.
V5Ge2H2: theoretical powder diffractogram (Cu Kα X-rays), based on a crystal structure in Alexandria, relaxed with PBE.
Peak positions follow from Bragg's law for the DFT cell and can differ from measured ones.

Main lines, sorted by position (2θ from 10° to 90°):
2θ = 39.8°, rel. 100
2θ = 42.3°, rel. 85
2θ = 43.1°, rel. 39
2θ = 43.3°, rel. 39
2θ = 56.0°, rel. 18
2θ = 59.0°, rel. 14
2θ = 73.2°, rel. 15
2θ = 73.3°, rel. 15
2θ = 75.1°, rel. 12
2θ = 75.4°, rel. 13

Crystal structure
```
V5Ge2H2
1.0
4.507 -1.642 0.000
4.507 1.642 0.000
-0.440 0.000 6.840
V Ge H
5 2 2
Cartesian
0.000 0.000 0.000 V
1.133 0.000 3.023 V
2.283 0.000 5.866 V
6.292 0.000 0.974 V
7.441 0.000 3.817 V
3.677 0.000 1.884 Ge
4.897 0.000 4.956 Ge
1.235 0.000 1.245 H
7.339 0.000 5.596 H
```